Na2AcV2O7: simulated PXRD pattern (Cu Kα X-rays), based on a cell relaxed with PBE+U.

Cell and atoms:
Cell: 5.7830 5.7830 23.5946 Å, 90.00 90.00 120.00°
Space group R32 (No. 155, hexagonal axes)
Unique sites:
Na 0.0000 0.0000 0.2369 (multiplicity 6)
Ac 0.0000 0.0000 0.0000 (multiplicity 3)
V 0.0000 0.0000 0.4231 (multiplicity 6)
O 0.0000 0.0000 0.5000 (multiplicity 3)
O 0.0227 0.3003 0.6003 (multiplicity 18)

Principal peaks in the range 5 to 70 degrees two-theta, in order of rising 2θ:
2theta, I (rel.)
11.25, 71
19.25, 100
23.30, 50
25.94, 73
30.93, 58
32.01, 32
33.01, 22
39.08, 19
46.77, 29
56.61, 19